Entry 1:
The following is a computed PXRD pattern of Cd2In3Ga9. It was derived from DFT lattice parameters and positions (PBE), using CuKα.
Lines closer than 0.1° are merged.

Atomic structure:
```
Cd2In3Ga9
1.0
-2.121 5.235 6.870
2.121 -5.235 6.870
2.121 5.235 -6.870
Cd In Ga
2 3 9
Cartesian
0.000 2.008 0.000
0.000 8.463 0.000
0.000 0.000 2.741
0.000 0.000 6.870
0.000 0.000 10.998
2.121 0.000 0.000
2.121 2.246 -2.180
2.121 -1.302 4.761
2.121 2.246 2.180
2.121 1.302 4.761
0.000 3.934 2.109
0.000 2.990 4.690
0.000 6.537 2.109
0.000 2.990 9.049
```

Main lines, in order of rising 2θ (10° ≤ 2θ ≤ 80°):
two_theta	I/Imax
32.2	17
33.2	16
33.5	100
34.7	21
35.8	31
39.3	26
42.6	40
54.4	12
59.4	17
63.1	13

***

Entry 2:
The following is a computed PXRD pattern of Cd9In2Ga. It was derived from DFT lattice parameters and positions (PBE), using CuKα.
Lines closer than 0.1° are merged.

Atomic structure:
```
Cd9In2Ga
1.0
4.509 0.000 0.000
0.000 4.509 0.000
0.000 0.000 13.543
Cd In Ga
9 2 1
Cartesian
0.000 0.000 0.000
0.000 0.000 4.476
0.000 0.000 9.067
0.000 2.254 2.168
0.000 2.254 6.771
0.000 2.254 11.375
2.254 0.000 2.168
2.254 0.000 6.771
2.254 0.000 11.375
2.254 2.254 4.472
2.254 2.254 9.071
2.254 2.254 0.000
```

Main lines, in order of rising 2θ (10° ≤ 2θ ≤ 80°):
two_theta	I/Imax
31.0	1
33.1	1
34.4	100
40.0	49
57.8	32
62.1	1
69.1	36
72.6	10

***

Entry 3:
The following is a computed PXRD pattern of Cd2In12Ga5. It was derived from DFT lattice parameters and positions (PBE), using CuKα.
Lines closer than 0.1° are merged.

Atomic structure:
```
Cd2In12Ga5
1.0
10.532 -4.354 0.000
10.532 4.354 0.000
-0.488 0.000 5.219
Cd In Ga
2 12 5
Cartesian
10.532 2.642 0.000
10.532 -2.642 0.000
5.763 1.801 4.073
2.576 0.000 0.120
8.446 1.954 2.268
12.129 1.954 2.951
8.444 0.000 4.821
5.763 -1.801 4.073
14.812 1.801 1.146
12.131 0.000 0.398
8.446 -1.954 2.268
12.129 -1.954 2.951
17.999 0.000 5.099
14.812 -1.801 1.146
-0.244 0.000 2.609
3.677 0.000 2.889
6.270 0.000 1.418
14.305 0.000 3.801
16.898 0.000 2.330
```

Main lines, in order of rising 2θ (10° ≤ 2θ ≤ 80°):
two_theta	I/Imax
26.6	15
31.6	23
32.6	100
34.6	47
35.8	21
36.1	72
37.2	18
41.5	21
43.1	16
61.6	14